Entry 1:
Simulated X-ray diffraction stick pattern of Tb2TmAl7Ag2 for CuKα, from a cell relaxed with PBE.
Lines closer than 0.1° are merged.

Most intense lines, 2θ = 15–90°, in order of falling intensity:
| 2θ (°) | d (Å) | intensity |
| --- | --- | --- |
| 38.44 | 2.342 | 100 |
| 32.31 | 2.770 | 85 |
| 20.26 | 4.383 | 38 |
| 30.21 | 2.958 | 29 |
| 61.74 | 1.503 | 24 |
| 18.80 | 4.721 | 21 |
| 33.03 | 2.712 | 20 |
| 62.71 | 1.482 | 18 |
| 67.63 | 1.385 | 17 |
| 57.63 | 1.599 | 16 |

```
data_Tb2TmAl7Ag2
_space_group_name_H-M_alt 'P 1'
_space_group_IT_number 1
_space_group_name_Hall 'P 1'
_cell_length_a 9.332
_cell_length_b 9.332
_cell_length_c 9.332
_cell_angle_alpha 34.54
_cell_angle_beta 34.54
_cell_angle_gamma 34.54
loop_
_atom_site_label
_atom_site_type_symbol
_atom_site_fract_x
_atom_site_fract_y
_atom_site_fract_z
_atom_site_occupancy
Tb1 Tb 0.142 0.142 0.142 1
Tb2 Tb 0.858 0.858 0.858 1
Tm1 Tm 0.000 0.000 0.000 1
Al1 Al 0.076 0.587 0.587 1
Al2 Al 0.413 0.413 0.924 1
Al3 Al 0.413 0.924 0.413 1
Al4 Al 0.500 0.500 0.500 1
Al5 Al 0.587 0.076 0.587 1
Al6 Al 0.587 0.587 0.076 1
Al7 Al 0.924 0.413 0.413 1
Ag1 Ag 0.336 0.336 0.336 1
Ag2 Ag 0.664 0.664 0.664 1
```

Entry 2:
Simulated X-ray diffraction stick pattern of Ag7As2 for CuKα, from a cell relaxed with PBE.
Lines closer than 0.1° are merged.

Most intense lines, 2θ = 15–90°, in order of falling intensity:
| 2θ (°) | d (Å) | intensity |
| --- | --- | --- |
| 37.99 | 2.369 | 100 |
| 43.71 | 2.071 | 63 |
| 36.47 | 2.463 | 37 |
| 64.57 | 1.443 | 26 |
| 39.12 | 2.303 | 22 |
| 76.48 | 1.245 | 21 |
| 45.60 | 1.989 | 20 |
| 62.51 | 1.486 | 17 |
| 39.64 | 2.274 | 14 |
| 77.43 | 1.233 | 14 |

```
data_Ag7As2
_space_group_name_H-M_alt 'P 1'
_space_group_IT_number 1
_space_group_name_Hall 'P 1'
_cell_length_a 2.887
_cell_length_b 2.887
_cell_length_c 29.558
_cell_angle_alpha 90.00
_cell_angle_beta 90.00
_cell_angle_gamma 120.00
loop_
_atom_site_label
_atom_site_type_symbol
_atom_site_fract_x
_atom_site_fract_y
_atom_site_fract_z
_atom_site_occupancy
Ag1 Ag 0.000 0.000 0.000 1
Ag2 Ag 0.000 0.000 0.244 1
Ag3 Ag 0.000 0.000 0.756 1
Ag4 Ag 0.333 0.667 0.163 1
Ag5 Ag 0.333 0.667 0.918 1
Ag6 Ag 0.667 0.333 0.082 1
Ag7 Ag 0.667 0.333 0.837 1
As1 As 0.333 0.667 0.677 1
As2 As 0.667 0.333 0.323 1
```

Entry 3:
Simulated X-ray diffraction stick pattern of Ag3As11 for CuKα, from a cell relaxed with PBE.
Lines closer than 0.1° are merged.

Most intense lines, 2θ = 15–90°, in order of falling intensity:
| 2θ (°) | d (Å) | intensity |
| --- | --- | --- |
| 26.28 | 3.391 | 100 |
| 44.78 | 2.024 | 41 |
| 29.15 | 3.063 | 37 |
| 45.12 | 2.009 | 36 |
| 28.90 | 3.089 | 33 |
| 51.38 | 1.778 | 17 |
| 33.48 | 2.676 | 17 |
| 44.50 | 2.036 | 16 |
| 49.96 | 1.826 | 15 |
| 60.45 | 1.532 | 15 |

```
data_Ag3As11
_space_group_name_H-M_alt 'P 1'
_space_group_IT_number 1
_space_group_name_Hall 'P 1'
_cell_length_a 8.198
_cell_length_b 8.198
_cell_length_c 7.054
_cell_angle_alpha 115.48
_cell_angle_beta 115.48
_cell_angle_gamma 59.57
loop_
_atom_site_label
_atom_site_type_symbol
_atom_site_fract_x
_atom_site_fract_y
_atom_site_fract_z
_atom_site_occupancy
Ag1 Ag 0.000 0.000 0.000 1
Ag2 Ag 0.316 0.316 0.020 1
Ag3 Ag 0.618 0.618 0.849 1
As1 As 0.090 0.613 0.293 1
As2 As 0.106 0.106 0.784 1
As3 As 0.301 0.790 0.570 1
As4 As 0.359 0.844 0.288 1
As5 As 0.510 0.510 0.065 1
As6 As 0.613 0.090 0.293 1
As7 As 0.636 0.944 0.553 1
As8 As 0.790 0.301 0.570 1
As9 As 0.830 0.830 0.061 1
As10 As 0.844 0.359 0.288 1
As11 As 0.944 0.636 0.553 1
```

Entry 4:
Simulated X-ray diffraction stick pattern of Ag10As for CuKα, from a cell relaxed with PBE.
Lines closer than 0.1° are merged.

Most intense lines, 2θ = 15–90°, in order of falling intensity:
| 2θ (°) | d (Å) | intensity |
| --- | --- | --- |
| 37.28 | 2.412 | 100 |
| 38.46 | 2.341 | 83 |
| 45.22 | 2.005 | 68 |
| 39.17 | 2.300 | 46 |
| 41.55 | 2.173 | 30 |
| 39.51 | 2.281 | 23 |
| 35.15 | 2.553 | 20 |
| 44.15 | 2.051 | 18 |
| 65.85 | 1.418 | 16 |
| 63.06 | 1.474 | 16 |

```
data_Ag10As
_space_group_name_H-M_alt 'P 1'
_space_group_IT_number 1
_space_group_name_Hall 'P 1'
_cell_length_a 4.906
_cell_length_b 4.906
_cell_length_c 32.162
_cell_angle_alpha 90.46
_cell_angle_beta 90.46
_cell_angle_gamma 48.27
loop_
_atom_site_label
_atom_site_type_symbol
_atom_site_fract_x
_atom_site_fract_y
_atom_site_fract_z
_atom_site_occupancy
Ag1 Ag 0.047 0.047 0.194 1
Ag2 Ag 0.050 0.050 0.896 1
Ag3 Ag 0.145 0.145 0.290 1
Ag4 Ag 0.150 0.150 0.985 1
Ag5 Ag 0.249 0.249 0.074 1
Ag6 Ag 0.254 0.254 0.777 1
Ag7 Ag 0.349 0.349 0.164 1
Ag8 Ag 0.351 0.351 0.865 1
Ag9 Ag 0.449 0.449 0.255 1
Ag10 Ag 0.450 0.450 0.956 1
Ag11 Ag 0.550 0.550 0.044 1
Ag12 Ag 0.551 0.551 0.745 1
Ag13 Ag 0.649 0.649 0.135 1
Ag14 Ag 0.651 0.651 0.836 1
Ag15 Ag 0.746 0.746 0.223 1
Ag16 Ag 0.751 0.751 0.926 1
Ag17 Ag 0.850 0.850 0.015 1
Ag18 Ag 0.855 0.855 0.710 1
Ag19 Ag 0.950 0.950 0.104 1
Ag20 Ag 0.953 0.953 0.806 1
As1 As 0.155 0.155 0.696 1
As2 As 0.845 0.845 0.304 1
```

Entry 5:
Simulated X-ray diffraction stick pattern of Ag17As for CuKα, from a cell relaxed with PBE.
Lines closer than 0.1° are merged.

Most intense lines, 2θ = 15–90°, in order of falling intensity:
| 2θ (°) | d (Å) | intensity |
| --- | --- | --- |
| 37.59 | 2.393 | 100 |
| 44.03 | 2.057 | 83 |
| 38.54 | 2.336 | 81 |
| 35.97 | 2.497 | 44 |
| 42.42 | 2.131 | 26 |
| 63.59 | 1.463 | 25 |
| 64.54 | 1.444 | 24 |
| 38.85 | 2.318 | 22 |
| 76.14 | 1.250 | 18 |
| 74.68 | 1.271 | 15 |

```
data_Ag17As
_space_group_name_H-M_alt 'P 1'
_space_group_IT_number 1
_space_group_name_Hall 'P 1'
_cell_length_a 4.999
_cell_length_b 5.793
_cell_length_c 32.455
_cell_angle_alpha 90.00
_cell_angle_beta 90.02
_cell_angle_gamma 90.00
loop_
_atom_site_label
_atom_site_type_symbol
_atom_site_fract_x
_atom_site_fract_y
_atom_site_fract_z
_atom_site_occupancy
Ag1 Ag 0.000 0.000 0.000 1
Ag2 Ag 0.000 0.500 0.000 1
Ag3 Ag 0.002 0.001 0.225 1
Ag4 Ag 0.002 0.499 0.225 1
Ag5 Ag 0.162 0.250 0.849 1
Ag6 Ag 0.165 0.750 0.300 1
Ag7 Ag 0.168 0.250 0.075 1
Ag8 Ag 0.168 0.750 0.075 1
Ag9 Ag 0.169 0.750 0.851 1
Ag10 Ag 0.331 0.002 0.925 1
Ag11 Ag 0.331 0.498 0.925 1
Ag12 Ag 0.335 0.501 0.149 1
Ag13 Ag 0.335 0.501 0.700 1
Ag14 Ag 0.335 0.999 0.149 1
Ag15 Ag 0.335 0.999 0.700 1
Ag16 Ag 0.497 0.250 0.775 1
Ag17 Ag 0.499 0.250 0.224 1
Ag18 Ag 0.499 0.750 0.999 1
Ag19 Ag 0.501 0.250 0.001 1
Ag20 Ag 0.501 0.750 0.776 1
Ag21 Ag 0.503 0.750 0.225 1
Ag22 Ag 0.665 0.001 0.300 1
Ag23 Ag 0.665 0.001 0.851 1
Ag24 Ag 0.665 0.499 0.300 1
Ag25 Ag 0.665 0.499 0.851 1
Ag26 Ag 0.669 0.502 0.075 1
Ag27 Ag 0.669 0.998 0.075 1
Ag28 Ag 0.831 0.250 0.149 1
Ag29 Ag 0.832 0.250 0.925 1
Ag30 Ag 0.832 0.750 0.925 1
Ag31 Ag 0.835 0.250 0.700 1
Ag32 Ag 0.838 0.750 0.151 1
Ag33 Ag 0.998 0.501 0.775 1
Ag34 Ag 0.998 0.999 0.775 1
As1 As 0.170 0.250 0.298 1
As2 As 0.830 0.750 0.702 1
```

Entry 6:
Simulated X-ray diffraction stick pattern of Na4AgAs2Au for CuKα, from a cell relaxed with PBE.
Lines closer than 0.1° are merged.

Most intense lines, 2θ = 15–90°, in order of falling intensity:
| 2θ (°) | d (Å) | intensity |
| --- | --- | --- |
| 16.02 | 5.532 | 100 |
| 20.24 | 4.387 | 84 |
| 39.29 | 2.293 | 42 |
| 35.79 | 2.509 | 37 |
| 35.50 | 2.529 | 35 |
| 22.37 | 3.975 | 32 |
| 33.11 | 2.706 | 32 |
| 36.75 | 2.445 | 23 |
| 45.65 | 1.987 | 22 |
| 46.12 | 1.968 | 21 |

```
data_Na4AgAs2Au
_space_group_name_H-M_alt 'P 1'
_space_group_IT_number 1
_space_group_name_Hall 'P 1'
_cell_length_a 5.652
_cell_length_b 5.652
_cell_length_c 5.659
_cell_angle_alpha 90.45
_cell_angle_beta 90.45
_cell_angle_gamma 101.81
loop_
_atom_site_label
_atom_site_type_symbol
_atom_site_fract_x
_atom_site_fract_y
_atom_site_fract_z
_atom_site_occupancy
Na1 Na 0.027 0.669 0.755 1
Na2 Na 0.331 0.973 0.245 1
Na3 Na 0.669 0.027 0.755 1
Na4 Na 0.973 0.331 0.245 1
Ag1 Ag 0.500 0.500 0.500 1
As1 As 0.204 0.204 0.748 1
As2 As 0.796 0.796 0.252 1
Au1 Au 0.500 0.500 0.000 1
```